Structure and theoretical powder diffractogram of Mg4Ta5 (a structure optimized by DFT (GGA-PBE); Cu Ka).
No peak broadening, texture or thermal motion is included.

Peak list (6 most intense, 2θ from 10° to 90°, in order of rising 2θ)
d/Å  Rel. int.  hkl
7.176  76  1 0 0
3.351  77  1 1 1
2.392  92  3 0 0
2.348  100  1 1 2
1.676  28  2 2 2
1.372  28  4 1 2

Structural model:
```
Mg4Ta5
1.0
8.2864 0.0000 0.0000
-4.1432 7.1762 0.0000
0.0000 0.0000 5.6985
Mg Ta
8 10
Direct
0.0000 0.0000 0.0000 Mg
0.0000 0.0000 0.5000 Mg
0.0000 0.3016 0.2500 Mg
0.0000 0.6984 0.7500 Mg
0.3016 0.0000 0.2500 Mg
0.3016 0.3016 0.7500 Mg
0.6984 0.0000 0.7500 Mg
0.6984 0.6984 0.2500 Mg
0.0000 0.3741 0.7500 Ta
0.0000 0.6259 0.2500 Ta
0.3333 0.6667 0.0000 Ta
0.3333 0.6667 0.5000 Ta
0.3741 0.0000 0.7500 Ta
0.3741 0.3741 0.2500 Ta
0.6259 0.0000 0.2500 Ta
0.6259 0.6259 0.7500 Ta
0.6667 0.3333 0.0000 Ta
0.6667 0.3333 0.5000 Ta
```